[1]
The following is a computed X-ray powder pattern of GdCdHg2. It was derived from a structure optimized by DFT (PBE), using a wavelength of 1.5418 Å.
Intensities are scaled so that the largest is 100.

Structural model:
```
4
Lattice="0.000 3.638 3.638 3.638 0.000 3.638 3.638 3.638 0.000" Properties=species:S:1:pos:R:3 pbc="T T T"
Gd 0.000 0.000 0.000
Cd 3.638 3.638 3.638
Hg 1.819 1.819 1.819
Hg 5.457 5.457 5.457
```

The 9 most intense peaks (2θ from 10° to 80°), low angle first:
two_theta, I/Imax
21.1, 0.8
24.5, 4.4
34.9, 100.0
43.1, 1.5
50.2, 18.0
56.6, 2.1
62.5, 37.0
73.6, 11.5
78.9, 1.1

***

[2]
The following is a computed X-ray powder pattern of LiSi3BiO8. It was derived from a structure optimized by DFT (PBE), using a wavelength of 1.5418 Å.
Intensities are scaled so that the largest is 100.

Structural model:
```
52
Lattice="4.274 -6.465 0.000 4.274 6.465 0.000 -2.613 0.000 12.691" Properties=species:S:1:pos:R:3 pbc="T T T"
Li 2.967 5.607 6.346
Li 4.288 1.785 3.807
Li 2.981 -1.785 10.152
Li 4.274 -5.607 0.000
Si 1.378 1.114 2.885
Si 4.466 4.765 3.622
Si 2.964 4.623 12.083
Si 0.071 -1.114 9.231
Si 2.956 1.106 6.662
Si 2.919 1.527 12.165
Si 4.263 -1.106 0.316
Si 4.445 0.721 9.473
Si 4.225 -1.527 5.819
Si 5.752 -0.721 3.127
Si 3.160 -4.765 9.968
Si 4.270 -4.623 5.737
Bi 2.303 2.977 0.500
Bi 1.421 3.854 8.752
Bi 0.996 -2.977 6.845
Bi 2.728 -3.854 2.406
O 0.537 1.787 4.165
O 2.863 4.888 3.211
O -0.993 1.665 11.608
O 1.760 5.529 12.522
O -0.261 0.477 9.301
O 1.398 1.697 6.686
O 1.045 -0.477 2.955
O 3.616 4.607 7.913
O 2.909 1.476 2.659
O 0.314 -1.665 5.262
O -0.770 -1.787 10.510
O 2.290 3.051 12.130
O 5.013 3.389 2.967
O 3.908 2.037 5.730
O 2.705 -1.697 0.340
O 1.696 0.490 12.571
O 1.602 -1.476 9.005
O 3.612 1.289 8.166
O 3.002 -0.490 6.226
O 3.446 1.113 10.698
O 6.761 1.565 0.519
O 5.992 0.872 3.186
O 4.918 -1.289 1.820
O 4.752 -1.113 4.352
O 2.602 -2.037 12.076
O 1.557 -4.888 9.557
O 3.597 -3.051 5.784
O 4.685 -0.872 9.531
O 3.706 -3.389 9.312
O 5.454 -1.565 6.865
O 3.066 -5.529 6.176
O 4.922 -4.607 1.567
```

The 12 most intense peaks (2θ from 10° to 80°), low angle first:
two_theta, I/Imax
13.7, 85.6
14.0, 38.8
15.4, 100.0
19.6, 38.6
23.0, 37.2
24.9, 33.7
25.1, 35.7
25.3, 35.4
26.4, 85.1
26.8, 82.1
30.0, 51.3
35.0, 46.4